(1)
The following is a computed powder diffraction line list of BaNdB12. It was derived from DFT lattice parameters and positions (PBE), using a wavelength of 1.5418 Å.
Peak positions follow from Bragg's law for the DFT cell and can differ from measured ones.

Crystal structure
Lattice parameters (Å, degrees): 8.404 8.404 8.404 90.00 90.00 90.00
Space group Fm-3m (No. 225)
Inequivalent atoms, fractional coordinates:
Ba 0.000 0.000 0.000 (multiplicity 4)
Nd 0.000 0.000 0.500 (multiplicity 4)
B 0.101 0.250 0.250 (multiplicity 48)

Most intense lines, 2θ from 10° to 90°, sorted by position:
4.202 Å, 2θ 21.14, intensity 620, hkl 2 0 0
2.971 Å, 2θ 30.08, intensity 1000, hkl 2 2 0
2.426 Å, 2θ 37.06, intensity 418, hkl 2 2 2
2.101 Å, 2θ 43.06, intensity 214, hkl 4 0 0
1.879 Å, 2θ 48.44, intensity 491, hkl 4 2 0
1.715 Å, 2θ 53.41, intensity 266, hkl 4 2 2
1.401 Å, 2θ 66.79, intensity 281, hkl 4 4 2
1.329 Å, 2θ 70.93, intensity 200, hkl 6 2 0
1.267 Å, 2θ 74.96, intensity 127, hkl 6 2 2
1.123 Å, 2θ 86.71, intensity 174, hkl 6 4 2

(2)
The following is a computed powder diffraction line list of Ba2NdB2S6. It was derived from DFT lattice parameters and positions (PBE), using a wavelength of 1.5418 Å.
Peak positions follow from Bragg's law for the DFT cell and can differ from measured ones.

Crystal structure
Lattice parameters (Å, degrees): 11.569 6.568 8.235 90.00 119.34 90.00
Space group C2/m (No. 12)
Inequivalent atoms, fractional coordinates:
Ba 0.210 0.000 0.207 (multiplicity 4)
Nd 0.000 0.000 0.500 (multiplicity 2)
B 0.048 0.500 0.256 (multiplicity 4)
S 0.044 0.260 0.805 (multiplicity 8)
S 0.228 0.500 0.359 (multiplicity 4)

Most intense lines, 2θ from 10° to 90°, sorted by position:
5.504 Å, 2θ 16.10, intensity 684, hkl 1 1 0
3.894 Å, 2θ 22.84, intensity 1000, hkl 1 1 1
3.459 Å, 2θ 25.75, intensity 765, hkl 1 1 -2
3.325 Å, 2θ 26.81, intensity 882, hkl 3 1 -1
3.284 Å, 2θ 27.15, intensity 432, hkl 0 2 0
2.856 Å, 2θ 31.32, intensity 498, hkl 4 0 -1
2.536 Å, 2θ 35.40, intensity 901, hkl 2 2 -2
2.447 Å, 2θ 36.73, intensity 476, hkl 1 1 -3
2.367 Å, 2θ 38.02, intensity 470, hkl 2 2 1
1.995 Å, 2θ 45.47, intensity 333, hkl 4 0 -4

(3)
The following is a computed powder diffraction line list of BaNi2B2. It was derived from DFT lattice parameters and positions (PBE), using a wavelength of 1.5418 Å.
Peak positions follow from Bragg's law for the DFT cell and can differ from measured ones.

Crystal structure
Lattice parameters (Å, degrees): 8.148 11.435 3.242 90.00 90.00 90.00
Space group Pnnm (No. 58)
Inequivalent atoms, fractional coordinates:
Ba 0.179 0.069 0.000 (multiplicity 4)
Ni 0.036 0.325 0.000 (multiplicity 4)
Ni 0.160 0.795 0.500 (multiplicity 4)
B 0.029 0.431 0.500 (multiplicity 4)
B 0.188 0.323 0.500 (multiplicity 4)

Most intense lines, 2θ from 10° to 90°, sorted by position:
2.913 Å, 2θ 30.70, intensity 828, hkl 1 1 1
2.783 Å, 2θ 32.16, intensity 569, hkl 2 3 0
2.698 Å, 2θ 33.21, intensity 1000, hkl 1 4 0
2.643 Å, 2θ 33.92, intensity 696, hkl 3 1 0
2.476 Å, 2θ 36.28, intensity 357, hkl 2 1 1
2.469 Å, 2θ 36.38, intensity 458, hkl 0 3 1
2.319 Å, 2θ 38.84, intensity 320, hkl 2 2 1
1.956 Å, 2θ 46.42, intensity 680, hkl 3 2 1
1.869 Å, 2θ 48.73, intensity 316, hkl 0 5 1
1.651 Å, 2θ 55.66, intensity 354, hkl 4 2 1

What is the formula in the first record?
BaNdB12